# 1
Structure and computed XRD peak list of PrHo14Er (a GGA-PBE-relaxed structure; Cu Kα (weighted mean of Kα1 and Kα2)).
Lines closer than 0.1° are merged.

Unit cell a=11.4202 b=7.0997 c=7.0997 alpha=60.02 beta=90.00 gamma=90.00
Fractional coordinates of all 16 atoms:
1 Pr 0.0000 0.0000 0.0000
2 Ho 0.0000 0.9998 0.4998
3 Ho 0.0000 0.4998 0.9998
4 Ho 0.2499 0.6667 0.6667
5 Ho 0.2523 0.1672 0.1672
6 Ho 0.2521 0.1672 0.6662
7 Ho 0.2521 0.6662 0.1672
8 Ho 0.5000 0.3338 0.3338
9 Ho 0.5000 0.3341 0.8335
10 Ho 0.5000 0.8335 0.3341
11 Ho 0.5000 0.8335 0.8335
12 Ho 0.7477 0.1672 0.1672
13 Ho 0.7479 0.1672 0.6662
14 Ho 0.7479 0.6662 0.1672
15 Ho 0.7501 0.6667 0.6667
16 Er 0.0000 0.4998 0.4998

Principal peaks in the range 2θ = 10–80°, sorted by position:
2θ (°), d_spacing, I_rel
30.1, 2.969, 42
31.3, 2.855, 34
33.1, 2.707, 100
37.6, 2.392, 23
51.5, 1.775, 26
56.9, 1.618, 21
61.5, 1.507, 30
62.6, 1.484, 16

# 2
Structure and computed XRD peak list of Nd14ThAl (a GGA-PBE-relaxed structure; Cu Kα (weighted mean of Kα1 and Kα2)).
Lines closer than 0.1° are merged.

Unit cell a=10.1208 b=7.2835 c=7.2835 alpha=90.01 beta=90.00 gamma=90.00
Fractional coordinates of all 16 atoms:
1 Nd 0.0000 0.0000 0.0000
2 Nd 0.0000 0.0022 0.4942
3 Nd 0.0000 0.4942 0.0022
4 Nd 0.0000 0.4972 0.4972
5 Nd 0.2549 0.7418 0.7418
6 Nd 0.2616 0.2537 0.7424
7 Nd 0.2616 0.7424 0.2537
8 Nd 0.2674 0.2537 0.2537
9 Nd 0.5000 0.5100 0.9837
10 Nd 0.5000 0.9837 0.5100
11 Nd 0.7326 0.2537 0.2537
12 Nd 0.7384 0.2537 0.7424
13 Nd 0.7384 0.7424 0.2537
14 Nd 0.7451 0.7418 0.7418
15 Th 0.5000 0.9997 0.9997
16 Al 0.5000 0.5000 0.5000

Principal peaks in the range 2θ = 10–80°, sorted by position:
2θ (°), d_spacing, I_rel
30.2, 2.956, 100
34.8, 2.575, 35
35.5, 2.530, 16
50.1, 1.821, 12
50.6, 1.805, 23
59.6, 1.550, 28
60.5, 1.531, 13
62.9, 1.478, 12